This entry pairs a crystal structure of Li2Mn3TeO8 with its simulated XRD peak list. Radiation: copper Kα. Structure: a crystal structure in the Materials Project, relaxed with PBE+U.
Intensities are scaled so that the largest is 100.

Cell and atoms:
Cell lengths 5.9226, 6.2870, 8.9818 Å; angles 89.98, 90.00, 89.94 degrees
Fractional positions:
Li  0.0004  0.2082  0.1312
Li  0.9996  0.7918  0.8688
Li  0.4992  0.7077  0.6309
Li  0.5008  0.2923  0.3691
Mn  0.0000  0.0000  0.5000
Mn  0.2500  0.2489  0.7488
Mn  0.2501  0.7491  0.2488
Mn  0.5000  0.5000  0.0000
Mn  0.7499  0.2509  0.7512
Mn  0.7500  0.7511  0.2512
Te  0.0000  0.5000  0.5000
Te  0.5000  0.0000  0.0000
O  0.0011  0.4814  0.7244
O  0.0007  0.9458  0.2599
O  0.2282  0.7228  0.4976
O  0.2290  0.2777  0.5013
O  0.2707  0.7779  0.0021
O  0.2721  0.2234  0.9987
O  0.4992  0.0188  0.7758
O  0.4992  0.4457  0.7599
O  0.5008  0.5543  0.2401
O  0.5008  0.9812  0.2242
O  0.7279  0.7766  0.0013
O  0.7293  0.2221  0.9979
O  0.7710  0.7223  0.4987
O  0.7718  0.2772  0.5024
O  0.9993  0.0542  0.7401
O  0.9989  0.5186  0.2756

Peak list (6 most intense, 10° ≤ 2θ ≤ 90°, sorted by position)
17.2°, rel. 68; 17.9°, rel. 100; 33.8°, rel. 38; 40.2°, rel. 28; 41.9°, rel. 47; 59.4°, rel. 31

This entry pairs a crystal structure of V2Zn2O7 with its simulated XRD peak list. Radiation: copper Kα. Structure: a crystal structure in the Materials Project, relaxed with PBE+U.
Intensities are scaled so that the largest is 100.

Cell and atoms:
Cell lengths 5.7022, 5.7022, 10.2834 Å; angles 104.38, 104.38, 94.92 degrees
Fractional positions:
V  0.0041  0.5183  0.7073
V  0.4817  0.9959  0.7927
V  0.5183  0.0041  0.2073
V  0.9959  0.4817  0.2927
Zn  0.2523  0.4050  0.0227
Zn  0.4050  0.2523  0.5227
Zn  0.5950  0.7477  0.4773
Zn  0.7477  0.5950  0.9773
O  0.0103  0.5480  0.1367
O  0.1455  0.3124  0.6182
O  0.1813  0.8187  0.7500
O  0.2905  0.4865  0.3968
O  0.3124  0.1455  0.1182
O  0.4520  0.9897  0.3633
O  0.4865  0.2905  0.8968
O  0.5135  0.7095  0.1032
O  0.5480  0.0103  0.6367
O  0.6876  0.8545  0.8818
O  0.7095  0.5135  0.6032
O  0.8187  0.1813  0.2500
O  0.8545  0.6876  0.3818
O  0.9897  0.4520  0.8633

Peak list (6 most intense, 10° ≤ 2θ ≤ 90°, sorted by position)
16.3°, rel. 34; 24.8°, rel. 56; 28.0°, rel. 19; 28.2°, rel. 100; 34.4°, rel. 15; 55.7°, rel. 24

This entry pairs a crystal structure of Li3Mn4B4O12 with its simulated XRD peak list. Radiation: copper Kα. Structure: a crystal structure in the Materials Project, relaxed with PBE+U.
Intensities are scaled so that the largest is 100.

Cell and atoms:
Cell lengths 7.8697, 7.9544, 9.1170 Å; angles 69.56, 70.53, 83.44 degrees
Fractional positions:
Li  0.0783  0.2401  0.2215
Li  0.1760  0.5156  0.2724
Li  0.3391  0.9966  0.7313
Li  0.6609  0.0034  0.2687
Li  0.8240  0.4844  0.7276
Li  0.9217  0.7599  0.7785
Mn  0.0303  0.2128  0.5820
Mn  0.2214  0.5299  0.9143
Mn  0.2867  0.9684  0.0781
Mn  0.4663  0.2894  0.4328
Mn  0.5337  0.7106  0.5672
Mn  0.7133  0.0316  0.9219
Mn  0.7786  0.4701  0.0857
Mn  0.9697  0.7872  0.4180
B  0.0321  0.2083  0.9130
B  0.2078  0.5418  0.5877
B  0.2941  0.9770  0.4071
B  0.4499  0.2755  0.1097
B  0.5501  0.7245  0.8903
B  0.7059  0.0230  0.5929
B  0.7922  0.4582  0.4123
B  0.9679  0.7917  0.0870
O  0.0112  0.3085  0.0170
O  0.0530  0.6412  0.6230
O  0.0902  0.7602  0.1794
O  0.1698  0.0015  0.3211
O  0.1718  0.0909  0.8894
O  0.2332  0.4453  0.4808
O  0.2752  0.0796  0.5111
O  0.3065  0.3920  0.1215
O  0.3340  0.5281  0.6684
O  0.4314  0.7423  0.8004
O  0.4342  0.8603  0.3851
O  0.4780  0.1636  0.0162
O  0.5220  0.8364  0.9838
O  0.5658  0.1397  0.6149
O  0.5686  0.2577  0.1996
O  0.6660  0.4719  0.3316
O  0.6935  0.6080  0.8785
O  0.7248  0.9204  0.4889
O  0.7668  0.5547  0.5192
O  0.8282  0.9091  0.1106
O  0.8302  0.9985  0.6789
O  0.9098  0.2398  0.8206
O  0.9470  0.3588  0.3770
O  0.9888  0.6915  0.9830

Peak list (6 most intense, 10° ≤ 2θ ≤ 90°, sorted by position)
20.2°, rel. 70; 21.9°, rel. 38; 22.7°, rel. 57; 33.9°, rel. 22; 34.1°, rel. 100; 40.7°, rel. 29